(1)
Starting from DFT lattice parameters and positions (GGA-PBE), the XRD peak list of KNaB2H8 was computed for Cu Kα X-rays.
Intensities are scaled so that the largest is 100.

```
KNaB2H8
1.0
2.2787 1.3156 7.4185
-2.2787 1.3156 7.4185
0.0000 -2.6313 7.4185
K Na B H
1 1 2 8
Direct
0.0000 0.0000 0.0000
0.4960 0.4960 0.4960
0.2488 0.2488 0.2488
0.7604 0.7604 0.7604
0.0345 0.5941 0.5962
0.2110 0.9869 0.4953
0.3041 0.3041 0.3041
0.4953 0.2110 0.9869
0.5941 0.5962 0.0345
0.5962 0.0345 0.5941
0.8154 0.8154 0.8154
0.9869 0.4953 0.2110
```

Most intense lines, 15° ≤ 2θ ≤ 90°, most intense first:
d 3.219, 2θ 27.71, rel. 100.0
d 2.276, 2θ 39.59, rel. 62.6
d 3.717, 2θ 23.94, rel. 44.9
d 1.942, 2θ 46.78, rel. 25.0
d 1.860, 2θ 48.97, rel. 15.1
d 1.315, 2θ 71.78, rel. 12.6
d 1.441, 2θ 64.69, rel. 11.8
d 1.438, 2θ 64.82, rel. 11.0
d 1.478, 2θ 62.89, rel. 8.6
d 1.610, 2θ 57.23, rel. 7.9

---

(2)
Starting from DFT lattice parameters and positions (GGA-PBE), the XRD peak list of KNaB2H8 was computed for Cu Kα X-rays.
Intensities are scaled so that the largest is 100.

```
KNaB2H8
1.0
2.2994 1.3275 6.9896
-2.2994 1.3275 6.9896
0.0000 -2.6551 6.9896
K Na B H
1 1 2 8
Direct
0.0000 0.0000 0.0000
0.5000 0.5000 0.5000
0.2387 0.2387 0.2387
0.7613 0.7613 0.7613
0.0318 0.5960 0.5960
0.1803 0.1803 0.1803
0.4040 0.4040 0.9682
0.4040 0.9682 0.4040
0.5960 0.0318 0.5960
0.5960 0.5960 0.0318
0.8197 0.8197 0.8197
0.9682 0.4040 0.4040
```

Most intense lines, 15° ≤ 2θ ≤ 90°, most intense first:
d 3.171, 2θ 28.14, rel. 100.0
d 3.723, 2θ 23.90, rel. 36.2
d 2.299, 2θ 39.18, rel. 35.7
d 2.189, 2θ 41.23, rel. 28.5
d 1.921, 2θ 47.32, rel. 18.3
d 1.862, 2θ 48.93, rel. 15.8
d 1.447, 2θ 64.39, rel. 12.7
d 3.495, 2θ 25.49, rel. 10.7
d 1.391, 2θ 67.30, rel. 10.0
d 1.956, 2θ 46.41, rel. 8.8